Entry 1:
For K3B12H12I, a crystal structure in Alexandria, relaxed with GGA-PBE gives the simulated powder diffraction line list in this record (Cu Kα X-rays).
Neutral-atom scattering factors, no anomalous dispersion.

Crystal structure
Unit cell a=10.2616 b=10.2616 c=11.3417 alpha=90.00 beta=90.00 gamma=120.00
Space group R-3m (No. 166, hexagonal axes)
One atom of each set of equivalent atoms:
K: 0.0000 0.5000 0.0000 [9 per cell]
B: 0.0577 0.1153 0.8814 [18 per cell]
B: 0.0935 0.1869 0.0281 [18 per cell]
H: 0.0133 0.5066 0.7159 [18 per cell]
H: 0.0988 0.1975 0.7971 [18 per cell]
I: 0.0000 0.0000 0.5000 [3 per cell]

Top 6 peaks for 2θ = 10–90°, low angle first:
- 12.65 deg, d = 6.995 Å, rel. 49.5
- 17.28 deg, d = 5.131 Å, rel. 74.3
- 18.56 deg, d = 4.780 Å, rel. 54.1
- 25.47 deg, d = 3.498 Å, rel. 100.0
- 27.70 deg, d = 3.221 Å, rel. 74.3
- 29.35 deg, d = 3.044 Å, rel. 74.9


Entry 2:
For AcSc6S8, a crystal structure in Alexandria, relaxed with GGA-PBE gives the simulated powder diffraction line list in this record (Cu Kα X-rays).
Neutral-atom scattering factors, no anomalous dispersion.

Crystal structure
Unit cell a=9.9565 b=9.9565 c=12.0404 alpha=90.00 beta=90.00 gamma=120.00
Space group R-3 (No. 148, hexagonal axes)
One atom of each set of equivalent atoms:
Ac: 0.0000 0.0000 0.0000 [3 per cell]
Sc: 0.0159 0.1983 0.3905 [18 per cell]
S: 0.0000 0.0000 0.2497 [6 per cell]
S: 0.0153 0.3886 0.2539 [18 per cell]

Top 6 peaks for 2θ = 10–90°, low angle first:
- 17.82 deg, d = 4.978 Å, rel. 57.4
- 17.97 deg, d = 4.936 Å, rel. 65.2
- 21.90 deg, d = 4.059 Å, rel. 79.7
- 28.37 deg, d = 3.146 Å, rel. 100.0
- 31.15 deg, d = 2.871 Å, rel. 81.0
- 40.81 deg, d = 2.211 Å, rel. 63.6


Entry 3:
For BiPAuSN, a crystal structure in Alexandria, relaxed with GGA-PBE gives the simulated powder diffraction line list in this record (Cu Kα X-rays).
Neutral-atom scattering factors, no anomalous dispersion.

Crystal structure
Unit cell a=5.773 b=2.974 c=5.953 alpha=90.00 beta=113.00 gamma=90.00
Space group Pm (No. 6)
One atom of each set of equivalent atoms:
Bi: 0.000 0.000 0.000 [1 per cell]
P: 0.573 0.500 0.364 [1 per cell]
Au: 0.015 0.500 0.503 [1 per cell]
S: 0.474 0.500 0.669 [1 per cell]
N: 0.446 0.000 0.206 [1 per cell]

Top 6 peaks for 2θ = 10–90°, low angle first:
- 16.68 deg, d = 5.314 Å, rel. 100.0
- 30.30 deg, d = 2.950 Å, rel. 50.3
- 33.73 deg, d = 2.657 Å, rel. 39.1
- 34.31 deg, d = 2.614 Å, rel. 68.8
- 35.33 deg, d = 2.541 Å, rel. 48.2
- 43.82 deg, d = 2.066 Å, rel. 28.2


Entry 4:
For Er12CdCo6, a crystal structure in Alexandria, relaxed with GGA-PBE gives the simulated powder diffraction line list in this record (Cu Kα X-rays).
Neutral-atom scattering factors, no anomalous dispersion.

Crystal structure
Unit cell a=9.557 b=9.557 c=9.557 alpha=90.00 beta=90.00 gamma=90.00
Space group Im-3 (No. 204)
One atom of each set of equivalent atoms:
Er: 0.000 0.303 0.194 [24 per cell]
Cd: 0.000 0.000 0.000 [2 per cell]
Co: 0.000 0.114 0.500 [12 per cell]

Top 6 peaks for 2θ = 10–90°, low angle first:
- 29.56 deg, d = 3.022 Å, rel. 47.6
- 32.45 deg, d = 2.759 Å, rel. 55.6
- 35.13 deg, d = 2.554 Å, rel. 100.0
- 48.58 deg, d = 1.874 Å, rel. 22.5
- 56.12 deg, d = 1.639 Å, rel. 38.6
- 59.64 deg, d = 1.550 Å, rel. 39.3


Entry 5:
For Cd2AgHg, a crystal structure in Alexandria, relaxed with GGA-PBE gives the simulated powder diffraction line list in this record (Cu Kα X-rays).
Neutral-atom scattering factors, no anomalous dispersion.

Crystal structure
Unit cell a=3.244 b=4.812 c=5.411 alpha=90.00 beta=90.05 gamma=90.00
Space group Pm (No. 6)
One atom of each set of equivalent atoms:
Cd: 0.000 0.000 0.000 [1 per cell]
Cd: 0.003 0.500 0.656 [1 per cell]
Ag: 0.499 0.500 0.145 [1 per cell]
Hg: 0.503 0.000 0.483 [1 per cell]

Top 6 peaks for 2θ = 10–90°, low angle first:
- 32.17 deg, d = 2.782 Å, rel. 18.6
- 37.34 deg, d = 2.408 Å, rel. 100.0
- 38.16 deg, d = 2.358 Å, rel. 33.3
- 58.55 deg, d = 1.576 Å, rel. 12.6
- 67.39 deg, d = 1.390 Å, rel. 12.9
- 71.56 deg, d = 1.319 Å, rel. 13.8


Entry 6:
For La4SnBi2, a crystal structure in Alexandria, relaxed with GGA-PBE gives the simulated powder diffraction line list in this record (Cu Kα X-rays).
Neutral-atom scattering factors, no anomalous dispersion.

Crystal structure
Unit cell a=9.846 b=9.846 c=9.886 alpha=90.00 beta=90.00 gamma=90.00
Space group I-42d (No. 122)
One atom of each set of equivalent atoms:
La: 0.070 0.181 0.300 [16 per cell]
Sn: 0.000 0.000 0.000 [4 per cell]
Bi: 0.122 0.250 0.625 [8 per cell]

Top 6 peaks for 2θ = 10–90°, low angle first:
- 28.61 deg, d = 3.120 Å, rel. 90.9
- 28.67 deg, d = 3.114 Å, rel. 59.6
- 34.02 deg, d = 2.636 Å, rel. 100.0
- 40.97 deg, d = 2.203 Å, rel. 20.4
- 43.03 deg, d = 2.102 Å, rel. 20.3
- 57.69 deg, d = 1.598 Å, rel. 31.2


Entry 7:
For Ca2TiO4, a crystal structure in Alexandria, relaxed with GGA-PBE gives the simulated powder diffraction line list in this record (Cu Kα X-rays).
Neutral-atom scattering factors, no anomalous dispersion.

Crystal structure
Unit cell a=6.451 b=10.349 c=12.391 alpha=90.00 beta=90.00 gamma=90.00
Space group Fddd (No. 70, origin choice 2)
One atom of each set of equivalent atoms:
Ca: 0.125 0.314 0.125 [16 per cell]
Ti: 0.125 0.125 0.625 [8 per cell]
O: 0.036 0.260 0.950 [32 per cell]

Top 6 peaks for 2θ = 10–90°, low angle first:
- 27.04 deg, d = 3.297 Å, rel. 28.8
- 28.82 deg, d = 3.098 Å, rel. 43.0
- 30.25 deg, d = 2.954 Å, rel. 100.0
- 31.26 deg, d = 2.861 Å, rel. 72.9
- 47.33 deg, d = 1.921 Å, rel. 60.0
- 50.56 deg, d = 1.805 Å, rel. 29.7


Entry 8:
For Pm6ThPb, a crystal structure in Alexandria, relaxed with GGA-PBE gives the simulated powder diffraction line list in this record (Cu Kα X-rays).
Neutral-atom scattering factors, no anomalous dispersion.

Crystal structure
Unit cell a=5.006 b=5.006 c=10.279 alpha=90.00 beta=90.00 gamma=90.00
Space group P4/mmm (No. 123)
One atom of each set of equivalent atoms:
Pm: 0.000 0.000 0.000 [1 per cell]
Pm: 0.000 0.000 0.500 [1 per cell]
Pm: 0.000 0.500 0.249 [4 per cell]
Th: 0.500 0.500 0.500 [1 per cell]
Pb: 0.500 0.500 0.000 [1 per cell]

Top 6 peaks for 2θ = 10–90°, low angle first:
- 30.67 deg, d = 2.915 Å, rel. 100.0
- 34.92 deg, d = 2.570 Å, rel. 17.8
- 35.87 deg, d = 2.503 Å, rel. 33.0
- 50.93 deg, d = 1.793 Å, rel. 24.5
- 59.99 deg, d = 1.542 Å, rel. 15.1
- 61.27 deg, d = 1.513 Å, rel. 28.3


Entry 9:
For SiGeSe, a crystal structure in Alexandria, relaxed with GGA-PBE gives the simulated powder diffraction line list in this record (Cu Kα X-rays).
Neutral-atom scattering factors, no anomalous dispersion.

Crystal structure
Unit cell a=3.678 b=5.320 c=9.908 alpha=75.52 beta=79.74 gamma=69.78
Space group P-1 (No. 2)
One atom of each set of equivalent atoms:
Si: 0.050 0.072 0.321 [2 per cell]
Ge: 0.173 0.654 0.500 [2 per cell]
Se: 0.408 0.865 0.833 [2 per cell]

Top 6 peaks for 2θ = 10–90°, low angle first:
- 22.06 deg, d = 4.029 Å, rel. 100.0
- 23.24 deg, d = 3.827 Å, rel. 98.4
- 28.05 deg, d = 3.181 Å, rel. 59.8
- 28.50 deg, d = 3.132 Å, rel. 43.2
- 28.67 deg, d = 3.114 Å, rel. 50.6
- 36.43 deg, d = 2.466 Å, rel. 63.5


Entry 10:
For PmDy2Cd3, a crystal structure in Alexandria, relaxed with GGA-PBE gives the simulated powder diffraction line list in this record (Cu Kα X-rays).
Neutral-atom scattering factors, no anomalous dispersion.

Crystal structure
Unit cell a=3.769 b=3.769 c=11.343 alpha=90.00 beta=90.00 gamma=90.00
Space group P4/mmm (No. 123)
One atom of each set of equivalent atoms:
Pm: 0.000 0.000 0.000 [1 per cell]
Dy: 0.000 0.000 0.336 [2 per cell]
Cd: 0.500 0.500 0.176 [2 per cell]
Cd: 0.500 0.500 0.500 [1 per cell]

Top 6 peaks for 2θ = 10–90°, low angle first:
- 33.59 deg, d = 2.668 Å, rel. 100.0
- 48.29 deg, d = 1.885 Å, rel. 12.0
- 60.00 deg, d = 1.542 Å, rel. 11.9
- 60.10 deg, d = 1.540 Å, rel. 24.3
- 70.56 deg, d = 1.335 Å, rel. 7.3
- 80.58 deg, d = 1.192 Å, rel. 10.5